# 1
Calculated powder diffractogram of Cd6CuPt10 for Cu Ka, from DFT lattice parameters and positions (GGA-PBE).

Atomic structure:
Cell: 7.818 7.818 5.649 Å, 90.00 90.00 120.00°
Positions (direct):
1 Cd 0.000 0.321 0.153
2 Cd 0.000 0.679 0.847
3 Cd 0.321 0.000 0.153
4 Cd 0.321 0.321 0.847
5 Cd 0.679 0.000 0.847
6 Cd 0.679 0.679 0.153
7 Cu 0.000 0.000 0.500
8 Pt 0.000 0.330 0.642
9 Pt 0.000 0.670 0.358
10 Pt 0.330 0.000 0.642
11 Pt 0.330 0.330 0.358
12 Pt 0.333 0.667 0.000
13 Pt 0.333 0.667 0.500
14 Pt 0.667 0.333 0.000
15 Pt 0.667 0.333 0.500
16 Pt 0.670 0.000 0.358
17 Pt 0.670 0.670 0.642

Principal peaks in the range 2θ from 5° to 70°, in order of rising 2θ:
2θ = 13.08°, 6.770 Å, intensity 15
2θ = 15.69°, 5.649 Å, intensity 7
2θ = 26.33°, 3.385 Å, intensity 7
2θ = 27.75°, 3.214 Å, intensity 6
2θ = 34.40°, 2.607 Å, intensity 4
2θ = 35.07°, 2.559 Å, intensity 5
2θ = 39.36°, 2.289 Å, intensity 100
2θ = 39.95°, 2.257 Å, intensity 97
2θ = 43.17°, 2.096 Å, intensity 4
2θ = 57.33°, 1.607 Å, intensity 33

=====

# 2
Calculated powder diffractogram of NaSrCd3 for Cu Ka, from DFT lattice parameters and positions (GGA-PBE).

Atomic structure:
Cell: 8.221 8.221 5.767 Å, 90.00 90.00 131.84°
Positions (direct):
1 Na 0.000 0.000 0.000
2 Na 0.000 0.000 0.500
3 Sr 0.388 0.612 0.750
4 Sr 0.612 0.388 0.250
5 Cd 0.072 0.390 0.250
6 Cd 0.187 0.813 0.250
7 Cd 0.390 0.072 0.750
8 Cd 0.610 0.928 0.250
9 Cd 0.813 0.187 0.750
10 Cd 0.928 0.610 0.750

Principal peaks in the range 2θ from 5° to 70°, in order of rising 2θ:
2θ = 11.79°, 7.506 Å, intensity 39
2θ = 23.71°, 3.753 Å, intensity 19
2θ = 27.08°, 3.293 Å, intensity 18
2θ = 31.01°, 2.883 Å, intensity 36
2θ = 32.68°, 2.740 Å, intensity 18
2θ = 33.12°, 2.705 Å, intensity 100
2θ = 35.90°, 2.502 Å, intensity 14
2θ = 39.27°, 2.294 Å, intensity 30
2θ = 39.41°, 2.287 Å, intensity 15
2θ = 56.52°, 1.628 Å, intensity 21

=====

# 3
Calculated powder diffractogram of AlCrGe for Cu Ka, from DFT lattice parameters and positions (GGA-PBE).

Atomic structure:
Cell: 5.945 4.916 4.745 Å, 75.93 53.33 50.74°
Positions (direct):
1 Al 0.173 0.827 0.173
2 Al 0.827 0.173 0.827
3 Cr 0.500 0.500 0.500
4 Cr 0.750 0.750 0.750
5 Ge 0.081 0.419 0.081
6 Ge 0.419 0.081 0.419

Principal peaks in the range 2θ from 5° to 70°, in order of rising 2θ:
2θ = 20.65°, 4.301 Å, intensity 22
2θ = 21.65°, 4.104 Å, intensity 5
2θ = 23.95°, 3.715 Å, intensity 8
2θ = 37.78°, 2.381 Å, intensity 5
2θ = 39.40°, 2.287 Å, intensity 100
2θ = 42.02°, 2.150 Å, intensity 38
2θ = 43.44°, 2.083 Å, intensity 68
2θ = 49.89°, 1.828 Å, intensity 49
2θ = 67.22°, 1.393 Å, intensity 19
2θ = 69.29°, 1.356 Å, intensity 17

=====

Repeat the first record exactly.
Calculated powder diffractogram of Cd6CuPt10 for Cu Ka, from DFT lattice parameters and positions (GGA-PBE).

Atomic structure:
Cell: 7.818 7.818 5.649 Å, 90.00 90.00 120.00°
Positions (direct):
1 Cd 0.000 0.321 0.153
2 Cd 0.000 0.679 0.847
3 Cd 0.321 0.000 0.153
4 Cd 0.321 0.321 0.847
5 Cd 0.679 0.000 0.847
6 Cd 0.679 0.679 0.153
7 Cu 0.000 0.000 0.500
8 Pt 0.000 0.330 0.642
9 Pt 0.000 0.670 0.358
10 Pt 0.330 0.000 0.642
11 Pt 0.330 0.330 0.358
12 Pt 0.333 0.667 0.000
13 Pt 0.333 0.667 0.500
14 Pt 0.667 0.333 0.000
15 Pt 0.667 0.333 0.500
16 Pt 0.670 0.000 0.358
17 Pt 0.670 0.670 0.642

Principal peaks in the range 2θ from 5° to 70°, in order of rising 2θ:
2θ = 13.08°, 6.770 Å, intensity 15
2θ = 15.69°, 5.649 Å, intensity 7
2θ = 26.33°, 3.385 Å, intensity 7
2θ = 27.75°, 3.214 Å, intensity 6
2θ = 34.40°, 2.607 Å, intensity 4
2θ = 35.07°, 2.559 Å, intensity 5
2θ = 39.36°, 2.289 Å, intensity 100
2θ = 39.95°, 2.257 Å, intensity 97
2θ = 43.17°, 2.096 Å, intensity 4
2θ = 57.33°, 1.607 Å, intensity 33

=====

Copy entry 1 word for word.
Calculated powder diffractogram of Cd6CuPt10 for Cu Ka, from DFT lattice parameters and positions (GGA-PBE).

Atomic structure:
Cell: 7.818 7.818 5.649 Å, 90.00 90.00 120.00°
Positions (direct):
1 Cd 0.000 0.321 0.153
2 Cd 0.000 0.679 0.847
3 Cd 0.321 0.000 0.153
4 Cd 0.321 0.321 0.847
5 Cd 0.679 0.000 0.847
6 Cd 0.679 0.679 0.153
7 Cu 0.000 0.000 0.500
8 Pt 0.000 0.330 0.642
9 Pt 0.000 0.670 0.358
10 Pt 0.330 0.000 0.642
11 Pt 0.330 0.330 0.358
12 Pt 0.333 0.667 0.000
13 Pt 0.333 0.667 0.500
14 Pt 0.667 0.333 0.000
15 Pt 0.667 0.333 0.500
16 Pt 0.670 0.000 0.358
17 Pt 0.670 0.670 0.642

Principal peaks in the range 2θ from 5° to 70°, in order of rising 2θ:
2θ = 13.08°, 6.770 Å, intensity 15
2θ = 15.69°, 5.649 Å, intensity 7
2θ = 26.33°, 3.385 Å, intensity 7
2θ = 27.75°, 3.214 Å, intensity 6
2θ = 34.40°, 2.607 Å, intensity 4
2θ = 35.07°, 2.559 Å, intensity 5
2θ = 39.36°, 2.289 Å, intensity 100
2θ = 39.95°, 2.257 Å, intensity 97
2θ = 43.17°, 2.096 Å, intensity 4
2θ = 57.33°, 1.607 Å, intensity 33